No. 1
Diffraction record for TbDy3Hg. The powder diffraction line list is simulated, not measured: it uses DFT lattice parameters and positions (PBE) and CuKα.

Crystal structure
```
data_TbDy3Hg
_chemical_formula_sum 'Tb4 Dy12 Hg4'
_space_group_name_H-M_alt 'C 1 2/m 1'
_space_group_IT_number 12
_cell_length_a 11.174
_cell_length_b 7.360
_cell_length_c 7.903
_cell_angle_alpha 90.00
_cell_angle_beta 110.60
_cell_angle_gamma 90.00
loop_
_space_group_symop_operation_xyz
'x,y,z'
'-x,-y,-z'
'-x,y,-z'
'x,-y,z'
'x+1/2,y+1/2,z'
'-x+1/2,-y+1/2,-z'
'-x+1/2,y+1/2,-z'
'x+1/2,-y+1/2,z'
loop_
_atom_site_label
_atom_site_type_symbol
_atom_site_fract_x
_atom_site_fract_y
_atom_site_fract_z
_atom_site_occupancy
Tb1 Tb 0.060 0.000 0.240 1
Dy1 Dy 0.061 0.500 0.241 1
Dy2 Dy 0.160 0.250 0.641 1
Hg1 Hg 0.248 0.500 0.000 1
```

Main lines, sorted by position (15 to 90 degrees two-theta):
2theta	I (rel.)	hkl
27.06	32	0 2 1
32.04	41	4 0 -1
34.29	50	2 0 -3
34.38	100	2 2 1
55.62	18	0 2 4
58.62	27	6 2 0
61.63	19	2 4 -3
65.64	20	4 2 3

=====

No. 2
Diffraction record for Dy4TcHg. The powder diffraction line list is simulated, not measured: it uses DFT lattice parameters and positions (PBE) and CuKα.

Crystal structure
```
data_Dy4TcHg
_chemical_formula_sum 'Dy8 Tc2 Hg2'
_space_group_name_H-M_alt 'P 1 21/c 1'
_space_group_IT_number 14
_cell_length_a 7.694
_cell_length_b 6.899
_cell_length_c 6.674
_cell_angle_alpha 90.00
_cell_angle_beta 90.18
_cell_angle_gamma 90.00
loop_
_space_group_symop_operation_xyz
'x,y,z'
'-x,-y,-z'
'-x,y+1/2,-z+1/2'
'x,-y+1/2,z+1/2'
loop_
_atom_site_label
_atom_site_type_symbol
_atom_site_fract_x
_atom_site_fract_y
_atom_site_fract_z
_atom_site_occupancy
Dy1 Dy 0.141 0.149 0.160 1
Dy2 Dy 0.295 0.650 0.141 1
Tc1 Tc 0.000 0.000 0.500 1
Hg1 Hg 0.500 0.000 0.000 1
```

Main lines, sorted by position (15 to 90 degrees two-theta):
2theta	I (rel.)	hkl
21.83	31	1 1 -1
26.53	36	2 1 0
29.17	100	1 0 2
29.74	30	2 1 -1
31.43	32	1 2 1
37.47	29	0 2 2
39.88	41	3 1 1
43.24	27	1 3 1

=====

No. 3
Diffraction record for Dy2TcHg. The powder diffraction line list is simulated, not measured: it uses DFT lattice parameters and positions (PBE) and CuKα.

Crystal structure
```
data_Dy2TcHg
_chemical_formula_sum 'Dy2 Tc1 Hg1'
_space_group_name_H-M_alt 'P 4/m m m'
_space_group_IT_number 123
_space_group_name_Hall '-P 4 2'
_cell_length_a 4.966
_cell_length_b 4.966
_cell_length_c 3.663
_cell_angle_alpha 90.00
_cell_angle_beta 90.00
_cell_angle_gamma 90.00
loop_
_atom_site_label
_atom_site_type_symbol
_atom_site_fract_x
_atom_site_fract_y
_atom_site_fract_z
_atom_site_occupancy
Dy1 Dy 0.000 0.500 0.000 1
Tc1 Tc 0.000 0.000 0.500 1
Hg1 Hg 0.500 0.500 0.500 1
```

Main lines, sorted by position (15 to 90 degrees two-theta):
2theta	I (rel.)	hkl
35.41	100	1 1 1
36.17	47	2 0 0
49.79	10	0 0 2
52.09	17	2 2 0
63.07	19	2 0 2
64.56	35	3 1 1
74.92	11	2 2 2
83.90	9	1 1 3

=====

No. 4
Diffraction record for Dy10Hg3Te3. The powder diffraction line list is simulated, not measured: it uses DFT lattice parameters and positions (PBE) and CuKα.

Crystal structure
```
data_Dy10Hg3Te3
_chemical_formula_sum 'Dy10 Hg3 Te3'
_space_group_name_H-M_alt 'P -6 2 m'
_space_group_IT_number 189
_space_group_name_Hall 'P -6 -2'
_cell_length_a 8.8968
_cell_length_b 8.8968
_cell_length_c 6.4650
_cell_angle_alpha 90.00
_cell_angle_beta 90.00
_cell_angle_gamma 120.00
loop_
_atom_site_label
_atom_site_type_symbol
_atom_site_fract_x
_atom_site_fract_y
_atom_site_fract_z
_atom_site_occupancy
Dy1 Dy 0.0000 0.2408 0.0000 1
Dy2 Dy 0.0000 0.7640 0.5000 1
Dy3 Dy 0.3333 0.6667 0.2523 1
Hg1 Hg 0.0000 0.3912 0.5000 1
Te1 Te 0.0000 0.6081 0.0000 1
```

Main lines, sorted by position (15 to 90 degrees two-theta):
2theta	I (rel.)	hkl
27.59	20	0 0 2
30.70	29	2 1 0
33.76	100	2 1 1
34.29	76	1 1 2
34.94	41	3 0 0
49.76	19	2 2 2
52.85	28	2 1 3
67.31	19	5 0 2

=====

No. 5
Diffraction record for Dy4HgTe. The powder diffraction line list is simulated, not measured: it uses DFT lattice parameters and positions (PBE) and CuKα.

Crystal structure
```
data_Dy4HgTe
_chemical_formula_sum 'Dy16 Hg4 Te4'
_space_group_name_H-M_alt 'P n m a'
_space_group_IT_number 62
_cell_length_a 8.506
_cell_length_b 3.950
_cell_length_c 20.094
_cell_angle_alpha 90.00
_cell_angle_beta 90.00
_cell_angle_gamma 90.00
loop_
_space_group_symop_operation_xyz
'x,y,z'
'-x,-y,-z'
'-x+1/2,-y,z+1/2'
'x+1/2,y,-z+1/2'
'x+1/2,-y+1/2,-z+1/2'
'-x+1/2,y+1/2,z+1/2'
'-x,y+1/2,-z'
'x,-y+1/2,z'
loop_
_atom_site_label
_atom_site_type_symbol
_atom_site_fract_x
_atom_site_fract_y
_atom_site_fract_z
_atom_site_occupancy
Dy1 Dy 0.015 0.250 0.218 1
Dy2 Dy 0.025 0.250 0.926 1
Dy3 Dy 0.123 0.250 0.435 1
Dy4 Dy 0.161 0.250 0.658 1
Hg1 Hg 0.244 0.750 0.546 1
Te1 Te 0.216 0.750 0.312 1
```

Main lines, sorted by position (15 to 90 degrees two-theta):
2theta	I (rel.)	hkl
30.65	100	1 1 4
31.76	47	0 1 5
31.87	28	3 0 1
33.73	65	2 1 3
35.76	25	0 0 8
36.38	33	3 0 4
38.32	24	2 1 5
45.95	32	0 2 0

=====

No. 6
Diffraction record for Dy5Hg2Te. The powder diffraction line list is simulated, not measured: it uses DFT lattice parameters and positions (PBE) and CuKα.

Crystal structure
```
data_Dy5Hg2Te
_chemical_formula_sum 'Dy10 Hg4 Te2'
_space_group_name_H-M_alt 'P b a m'
_space_group_IT_number 55
_cell_length_a 7.091
_cell_length_b 12.755
_cell_length_c 4.958
_cell_angle_alpha 90.00
_cell_angle_beta 90.00
_cell_angle_gamma 90.00
loop_
_space_group_symop_operation_xyz
'x,y,z'
'-x,-y,-z'
'-x,-y,z'
'x,y,-z'
'x+1/2,-y+1/2,-z'
'-x+1/2,y+1/2,z'
'-x+1/2,y+1/2,-z'
'x+1/2,-y+1/2,z'
loop_
_atom_site_label
_atom_site_type_symbol
_atom_site_fract_x
_atom_site_fract_y
_atom_site_fract_z
_atom_site_occupancy
Dy1 Dy 0.000 0.000 0.000 1
Dy2 Dy 0.135 0.275 0.000 1
Dy3 Dy 0.190 0.595 0.500 1
Hg1 Hg 0.105 0.838 0.500 1
Te1 Te 0.000 0.500 0.000 1
```

Main lines, sorted by position (15 to 90 degrees two-theta):
2theta	I (rel.)	hkl
30.43	34	1 3 1
30.74	27	1 4 0
31.81	100	2 1 1
32.89	22	2 3 0
33.41	77	0 4 1
34.12	29	2 2 1
36.24	53	0 0 2
63.36	21	0 4 3

=====

Repeat the first record exactly.
Diffraction record for TbDy3Hg. The powder diffraction line list is simulated, not measured: it uses DFT lattice parameters and positions (PBE) and CuKα.

Crystal structure
```
data_TbDy3Hg
_chemical_formula_sum 'Tb4 Dy12 Hg4'
_space_group_name_H-M_alt 'C 1 2/m 1'
_space_group_IT_number 12
_cell_length_a 11.174
_cell_length_b 7.360
_cell_length_c 7.903
_cell_angle_alpha 90.00
_cell_angle_beta 110.60
_cell_angle_gamma 90.00
loop_
_space_group_symop_operation_xyz
'x,y,z'
'-x,-y,-z'
'-x,y,-z'
'x,-y,z'
'x+1/2,y+1/2,z'
'-x+1/2,-y+1/2,-z'
'-x+1/2,y+1/2,-z'
'x+1/2,-y+1/2,z'
loop_
_atom_site_label
_atom_site_type_symbol
_atom_site_fract_x
_atom_site_fract_y
_atom_site_fract_z
_atom_site_occupancy
Tb1 Tb 0.060 0.000 0.240 1
Dy1 Dy 0.061 0.500 0.241 1
Dy2 Dy 0.160 0.250 0.641 1
Hg1 Hg 0.248 0.500 0.000 1
```

Main lines, sorted by position (15 to 90 degrees two-theta):
2theta	I (rel.)	hkl
27.06	32	0 2 1
32.04	41	4 0 -1
34.29	50	2 0 -3
34.38	100	2 2 1
55.62	18	0 2 4
58.62	27	6 2 0
61.63	19	2 4 -3
65.64	20	4 2 3